Entry 1:
This entry pairs a crystal structure of Ho2TmRh3 with its computed powder diffraction line list. Radiation: Cu Ka. Structure: a cell relaxed with PBE.

Structural model:
Lattice parameters (Å, degrees): 4.8101 4.8101 11.7491 90.00 90.00 120.00
Atoms (fractional coordinates):
Ho 0.0000 0.0000 0.0000
Ho 0.0000 0.0000 0.5000
Ho 0.3333 0.6667 0.1677
Ho 0.6667 0.3333 0.8323
Tm 0.3333 0.6667 0.6661
Tm 0.6667 0.3333 0.3339
Rh 0.0000 0.0000 0.2512
Rh 0.0000 0.0000 0.7488
Rh 0.3333 0.6667 0.4168
Rh 0.3333 0.6667 0.9156
Rh 0.6667 0.3333 0.0844
Rh 0.6667 0.3333 0.5833

Top 6 peaks for 2θ = 15–90°, low angle first:
| 2theta | intensity |
| --- | --- |
| 26.23 | 6 |
| 37.43 | 100 |
| 53.97 | 17 |
| 67.48 | 26 |
| 67.64 | 9 |
| 79.74 | 6 |

---

Entry 2:
This entry pairs a crystal structure of CoC6N6 with its computed powder diffraction line list. Radiation: Cu Ka. Structure: a cell relaxed with PBE.

Structural model:
Lattice parameters (Å, degrees): 5.9890 5.9890 6.9207 90.00 90.00 120.00
Atoms (fractional coordinates):
Co 0.0000 0.0000 0.0000
C 0.0000 0.2553 0.8436
C 0.0000 0.7447 0.1564
C 0.2553 0.0000 0.8436
C 0.2553 0.2553 0.1564
C 0.7447 0.0000 0.1564
C 0.7447 0.7447 0.8436
N 0.0000 0.4194 0.7474
N 0.0000 0.5806 0.2526
N 0.4194 0.0000 0.7474
N 0.4194 0.4194 0.2526
N 0.5806 0.0000 0.2526
N 0.5806 0.5806 0.7474

Top 6 peaks for 2θ = 15–90°, low angle first:
| 2theta | intensity |
| --- | --- |
| 17.10 | 60 |
| 21.41 | 100 |
| 31.07 | 38 |
| 32.58 | 61 |
| 34.59 | 24 |
| 39.81 | 40 |

---

Entry 3:
This entry pairs a crystal structure of La2NdHg6 with its computed powder diffraction line list. Radiation: Cu Ka. Structure: a cell relaxed with PBE.

Structural model:
Lattice parameters (Å, degrees): 8.8296 8.8296 3.5288 90.00 90.00 120.00
Atoms (fractional coordinates):
La 0.3333 0.6667 0.0000
La 0.6667 0.3333 0.0000
Nd 0.0000 0.0000 0.0000
Hg 0.0000 0.3319 0.5000
Hg 0.0000 0.6681 0.5000
Hg 0.3319 0.0000 0.5000
Hg 0.3319 0.3319 0.5000
Hg 0.6681 0.0000 0.5000
Hg 0.6681 0.6681 0.5000

Top 6 peaks for 2θ = 15–90°, low angle first:
| 2theta | intensity |
| --- | --- |
| 32.48 | 98 |
| 35.21 | 100 |
| 43.81 | 26 |
| 48.65 | 32 |
| 61.47 | 32 |
| 64.20 | 36 |

---

Entry 4:
This entry pairs a crystal structure of ZnPb2C4 with its computed powder diffraction line list. Radiation: Cu Ka. Structure: a cell relaxed with PBE.

Structural model:
Lattice parameters (Å, degrees): 7.3882 7.3882 7.3882 148.85 148.85 44.63
Atoms (fractional coordinates):
Zn 0.0000 0.0000 0.0000
Pb 0.3474 0.3474 0.0000
Pb 0.6526 0.6526 0.0000
C 0.0000 0.5000 0.5000
C 0.1545 0.1545 0.0000
C 0.5000 0.0000 0.5000
C 0.8455 0.8455 0.0000

Top 6 peaks for 2θ = 15–90°, low angle first:
| 2theta | intensity |
| --- | --- |
| 23.35 | 20 |
| 29.86 | 100 |
| 31.90 | 49 |
| 45.74 | 22 |
| 51.69 | 20 |
| 55.58 | 37 |

---

Entry 5:
This entry pairs a crystal structure of TiSi2Pd7 with its computed powder diffraction line list. Radiation: Cu Ka. Structure: a cell relaxed with PBE.

Structural model:
Lattice parameters (Å, degrees): 6.8624 6.8624 4.2733 90.00 90.00 115.52
Atoms (fractional coordinates):
Ti 0.0000 0.0000 0.0000
Si 0.3025 0.6975 0.5000
Si 0.6975 0.3025 0.5000
Pd 0.0657 0.3094 0.5000
Pd 0.2275 0.7725 0.0000
Pd 0.3094 0.0657 0.5000
Pd 0.5000 0.5000 0.5000
Pd 0.6906 0.9343 0.5000
Pd 0.7725 0.2275 0.0000
Pd 0.9343 0.6906 0.5000

Top 6 peaks for 2θ = 15–90°, low angle first:
| 2theta | intensity |
| --- | --- |
| 20.79 | 71 |
| 37.46 | 79 |
| 39.63 | 100 |
| 42.30 | 71 |
| 43.40 | 86 |
| 46.19 | 68 |

---

Entry 6:
This entry pairs a crystal structure of K2Ga7Au12 with its computed powder diffraction line list. Radiation: Cu Ka. Structure: a cell relaxed with PBE.

Structural model:
Lattice parameters (Å, degrees): 4.5144 10.4631 10.4678 60.03 89.86 89.98
Atoms (fractional coordinates):
K 0.2368 0.1664 0.1671
K 0.7632 0.8336 0.8329
Ga 0.2894 0.1077 0.6082
Ga 0.2890 0.7844 0.1065
Ga 0.2918 0.6088 0.7839
Ga 0.5000 0.5000 0.5000
Ga 0.7082 0.3912 0.2161
Ga 0.7110 0.2156 0.8935
Ga 0.7106 0.8923 0.3918
Au 0.2021 0.3698 0.3735
Au 0.2048 0.7573 0.3686
Au 0.2056 0.3732 0.7576
Au 0.2373 0.5621 0.0531
Au 0.2380 0.8847 0.5618
Au 0.2390 0.0535 0.8844
Au 0.7610 0.9465 0.1156
Au 0.7620 0.1153 0.4382
Au 0.7627 0.4379 0.9469
Au 0.7944 0.6268 0.2424
Au 0.7952 0.2427 0.6314
Au 0.7979 0.6302 0.6265

Top 6 peaks for 2θ = 15–90°, low angle first:
| 2theta | intensity |
| --- | --- |
| 16.94 | 26 |
| 26.04 | 18 |
| 32.82 | 100 |
| 39.94 | 22 |
| 41.10 | 36 |
| 43.52 | 30 |

---

Entry 7:
This entry pairs a crystal structure of PaCuGeH with its computed powder diffraction line list. Radiation: Cu Ka. Structure: a cell relaxed with PBE.

Structural model:
Lattice parameters (Å, degrees): 4.1178 4.1178 3.9919 90.00 90.00 120.00
Atoms (fractional coordinates):
Pa 0.0000 0.0000 0.0000
Cu 0.6667 0.3333 0.5009
Ge 0.3333 0.6667 0.4992
H 0.6667 0.3333 0.9979

Top 6 peaks for 2θ = 15–90°, low angle first:
| 2theta | intensity |
| --- | --- |
| 24.97 | 27 |
| 33.70 | 100 |
| 43.98 | 38 |
| 56.53 | 23 |
| 65.09 | 23 |
| 74.27 | 21 |

---

Entry 8:
This entry pairs a crystal structure of Pr5GaPb2 with its computed powder diffraction line list. Radiation: Cu Ka. Structure: a cell relaxed with PBE.

Structural model:
Lattice parameters (Å, degrees): 8.3197 12.8051 4.8801 90.00 90.00 90.00
Atoms (fractional coordinates):
Pr 0.0000 0.0000 0.0000
Pr 0.1539 0.2842 0.0000
Pr 0.1909 0.5669 0.5000
Pr 0.3091 0.0669 0.5000
Pr 0.3461 0.7842 0.0000
Pr 0.5000 0.5000 0.0000
Pr 0.6539 0.2158 0.0000
Pr 0.6909 0.9331 0.5000
Pr 0.8091 0.4331 0.5000
Pr 0.8461 0.7158 0.0000
Ga 0.0000 0.5000 0.0000
Ga 0.5000 0.0000 0.0000
Pb 0.0767 0.8285 0.5000
Pb 0.4233 0.3285 0.5000
Pb 0.5767 0.6715 0.5000
Pb 0.9233 0.1715 0.5000

Top 6 peaks for 2θ = 15–90°, low angle first:
| 2theta | intensity |
| --- | --- |
| 29.06 | 86 |
| 29.85 | 100 |
| 31.53 | 58 |
| 33.48 | 26 |
| 35.25 | 23 |
| 36.84 | 41 |

---

Entry 9:
This entry pairs a crystal structure of RbTb3Se4O12 with its computed powder diffraction line list. Radiation: Cu Ka. Structure: a cell relaxed with PBE.

Structural model:
Lattice parameters (Å, degrees): 7.6747 7.6747 7.6747 107.24 107.24 107.24
Atoms (fractional coordinates):
Rb 0.0000 0.0000 0.0000
Tb 0.0000 0.5673 0.4327
Tb 0.4327 0.0000 0.5673
Tb 0.5673 0.4327 0.0000
Se 0.0673 0.5000 0.9327
Se 0.5000 0.5000 0.5000
Se 0.5000 0.9327 0.0673
Se 0.9327 0.0673 0.5000
O 0.0811 0.6249 0.7794
O 0.1166 0.8834 0.5000
O 0.2206 0.3751 0.9189
O 0.3456 0.6544 0.5000
O 0.3751 0.9189 0.2206
O 0.5000 0.1166 0.8834
O 0.5000 0.3456 0.6544
O 0.6249 0.7794 0.0811
O 0.6544 0.5000 0.3456
O 0.7794 0.0811 0.6249
O 0.8834 0.5000 0.1166
O 0.9189 0.2206 0.3751

Top 6 peaks for 2θ = 15–90°, low angle first:
| 2theta | intensity |
| --- | --- |
| 24.38 | 54 |
| 26.82 | 100 |
| 28.90 | 26 |
| 31.94 | 50 |
| 34.89 | 26 |
| 53.47 | 26 |

---

Entry 10:
This entry pairs a crystal structure of NdAl2Ni9 with its computed powder diffraction line list. Radiation: Cu Ka. Structure: a cell relaxed with PBE.

Structural model:
Lattice parameters (Å, degrees): 8.1084 8.1084 4.7404 90.00 90.00 90.00
Atoms (fractional coordinates):
Nd 0.0000 0.0000 0.0000
Nd 0.5000 0.5000 0.0000
Al 0.1198 0.3802 0.0000
Al 0.3802 0.8802 0.0000
Al 0.6198 0.1198 0.0000
Al 0.8802 0.6198 0.0000
Ni 0.0000 0.5000 0.5000
Ni 0.0665 0.2119 0.5000
Ni 0.1766 0.6766 0.2408
Ni 0.1766 0.6766 0.7592
Ni 0.2119 0.9335 0.5000
Ni 0.2881 0.4335 0.5000
Ni 0.3234 0.1766 0.2408
Ni 0.3234 0.1766 0.7592
Ni 0.4335 0.7119 0.5000
Ni 0.5000 0.0000 0.5000
Ni 0.5665 0.2881 0.5000
Ni 0.6766 0.8234 0.2408
Ni 0.6766 0.8234 0.7592
Ni 0.7119 0.5665 0.5000
Ni 0.7881 0.0665 0.5000
Ni 0.8234 0.3234 0.2408
Ni 0.8234 0.3234 0.7592
Ni 0.9335 0.7881 0.5000

Top 6 peaks for 2θ = 15–90°, low angle first:
| 2theta | intensity |
| --- | --- |
| 36.63 | 38 |
| 39.98 | 100 |
| 44.27 | 45 |
| 45.73 | 59 |
| 46.16 | 54 |
| 50.29 | 37 |

---

Entry 11:
This entry pairs a crystal structure of La3RhCl3 with its computed powder diffraction line list. Radiation: Cu Ka. Structure: a cell relaxed with PBE.

Structural model:
Lattice parameters (Å, degrees): 10.3936 10.3936 10.3936 109.47 109.47 109.47
Atoms (fractional coordinates):
La 0.0112 0.0224 0.2612
La 0.0112 0.4888 0.7500
La 0.0224 0.2612 0.0112
La 0.2388 0.2612 0.7500
La 0.2388 0.4776 0.4888
La 0.2612 0.0112 0.0224
La 0.2612 0.7500 0.2388
La 0.4776 0.4888 0.2388
La 0.4888 0.2388 0.4776
La 0.4888 0.7500 0.0112
La 0.7500 0.0112 0.4888
La 0.7500 0.2388 0.2612
Rh 0.0000 0.2500 0.5000
Rh 0.2500 0.2500 0.2500
Rh 0.2500 0.5000 0.0000
Rh 0.5000 0.0000 0.2500
Cl 0.2500 0.7507 0.7493
Cl 0.2500 0.9993 0.5007
Cl 0.5007 0.2500 0.9993
Cl 0.5015 0.5007 0.7507
Cl 0.5007 0.7507 0.5015
Cl 0.7493 0.2500 0.7507
Cl 0.7493 0.9993 0.9985
Cl 0.7507 0.5015 0.5007
Cl 0.7507 0.7493 0.2500
Cl 0.9993 0.5007 0.2500
Cl 0.9985 0.7493 0.9993
Cl 0.9993 0.9985 0.7493

Top 6 peaks for 2θ = 15–90°, low angle first:
| 2theta | intensity |
| --- | --- |
| 29.78 | 100 |
| 38.24 | 20 |
| 42.61 | 70 |
| 52.85 | 24 |
| 70.13 | 28 |
| 78.01 | 20 |

---

Entry 12:
This entry pairs a crystal structure of La3TlS6 with its computed powder diffraction line list. Radiation: Cu Ka. Structure: a cell relaxed with PBE.

Structural model:
Lattice parameters (Å, degrees): 9.0199 9.0199 6.9118 90.00 90.00 103.10
Atoms (fractional coordinates):
La 0.0994 0.9006 0.5000
La 0.2120 0.4120 0.4259
La 0.4120 0.2120 0.9259
La 0.5880 0.7880 0.4259
La 0.7880 0.5880 0.9259
La 0.9006 0.0994 0.0000
Tl 0.3034 0.6966 0.8930
Tl 0.6966 0.3034 0.3930
S 0.0603 0.5965 0.6926
S 0.1374 0.1843 0.7135
S 0.1843 0.1374 0.2135
S 0.2809 0.7191 0.2545
S 0.4035 0.9397 0.6926
S 0.4693 0.5307 0.7256
S 0.5307 0.4693 0.2256
S 0.5965 0.0603 0.1926
S 0.7191 0.2809 0.7545
S 0.8157 0.8626 0.7135
S 0.8626 0.8157 0.2135
S 0.9397 0.4035 0.1926

Top 6 peaks for 2θ = 15–90°, low angle first:
| 2theta | intensity |
| --- | --- |
| 24.00 | 100 |
| 24.21 | 53 |
| 27.85 | 23 |
| 35.95 | 24 |
| 39.99 | 38 |
| 46.74 | 38 |